Entry 1:
Starting from the PBE geometry in Alexandria, the X-ray diffraction stick pattern of Li7Cd2Ag was calculated for Cu Ka.

Structure:
Lattice parameters (Å, degrees): 4.5946 4.5946 10.0182 90.00 90.00 120.00
Space group P3m1 (No. 156)
Inequivalent atoms, fractional coordinates:
1 Li 0.0000 0.0000 0.0000 [1 per cell]
2 Li 0.0000 0.0000 0.2359 [1 per cell]
3 Li 0.0000 0.0000 0.4793 [1 per cell]
4 Li 0.3333 0.6667 0.0242 [1 per cell]
5 Li 0.3333 0.6667 0.6391 [1 per cell]
6 Li 0.6667 0.3333 0.4668 [1 per cell]
7 Li 0.6667 0.3333 0.8505 [1 per cell]
8 Cd 0.0000 0.0000 0.7394 [1 per cell]
9 Cd 0.3333 0.6667 0.3279 [1 per cell]
10 Ag 0.6667 0.3333 0.1532 [1 per cell]

Largest 8 diffraction maxima, most intense first, 15 to 90 degrees two-theta:
(1 0 1), 24.1 deg, intensity 100; (1 0 3), 35.1 deg, intensity 41; (0 1 2), 28.7 deg, intensity 39; (1 1 0), 39.2 deg, intensity 38; (0 0 2), 17.7 deg, intensity 28; (0 1 4), 42.7 deg, intensity 27; (1 1 2), 43.3 deg, intensity 17; (0 2 1), 46.5 deg, intensity 16

Entry 2:
Starting from the PBE geometry in Alexandria, the X-ray diffraction stick pattern of Mo3HPt was calculated for Cu Ka.

Structure:
Lattice parameters (Å, degrees): 4.6291 5.8117 4.8726 90.00 92.54 90.00
Space group P2 (No. 3)
Inequivalent atoms, fractional coordinates:
1 Mo 0.2272 0.0000 0.1744 [2 per cell]
2 Mo 0.2289 0.5040 0.1678 [2 per cell]
3 Mo 0.2731 0.7560 0.7169 [2 per cell]
4 H 0.0000 0.5815 0.5000 [1 per cell]
5 H 0.5000 0.5421 0.5000 [1 per cell]
6 Pt 0.2617 0.2431 0.6741 [2 per cell]

Largest 8 diffraction maxima, most intense first, 15 to 90 degrees two-theta:
(1 2 -1), 40.7 deg, intensity 100; (1 2 1), 41.5 deg, intensity 91; (2 0 0), 39.0 deg, intensity 65; (1 0 -2), 41.1 deg, intensity 33; (2 4 0), 77.6 deg, intensity 33; (0 0 2), 36.9 deg, intensity 32; (0 2 1), 36.0 deg, intensity 29; (1 0 2), 42.7 deg, intensity 28

Entry 3:
Starting from the PBE geometry in Alexandria, the X-ray diffraction stick pattern of CaHg4Rh was calculated for Cu Ka.

Structure:
Lattice parameters (Å, degrees): 8.1569 8.1569 8.1569 90.00 90.00 90.00
Space group F-43m (No. 216)
Inequivalent atoms, fractional coordinates:
1 Ca 0.0000 0.0000 0.0000 [4 per cell]
2 Hg 0.1243 0.1243 0.6243 [16 per cell]
3 Rh 0.2500 0.2500 0.2500 [4 per cell]

Largest 8 diffraction maxima, most intense first, 15 to 90 degrees two-theta:
(3 1 1), 36.5 deg, intensity 100; (2 2 2), 38.2 deg, intensity 74; (1 1 1), 18.8 deg, intensity 57; (3 3 3), 58.8 deg, intensity 34; (4 4 0), 64.6 deg, intensity 34; (6 2 2), 77.6 deg, intensity 30; (4 0 0), 44.4 deg, intensity 24; (3 3 1), 48.7 deg, intensity 16

Entry 4:
Starting from the PBE geometry in Alexandria, the X-ray diffraction stick pattern of Ba2NaOsO6 was calculated for Cu Ka.

Structure:
Lattice parameters (Å, degrees): 8.3963 8.3963 8.3963 90.00 90.00 90.00
Space group Fm-3m (No. 225)
Inequivalent atoms, fractional coordinates:
1 Ba 0.2500 0.2500 0.2500 [8 per cell]
2 Na 0.0000 0.0000 0.0000 [4 per cell]
3 Os 0.0000 0.0000 0.5000 [4 per cell]
4 O 0.0000 0.0000 0.2729 [24 per cell]

Largest 8 diffraction maxima, most intense first, 15 to 90 degrees two-theta:
(2 2 0), 30.1 deg, intensity 100; (4 2 2), 53.5 deg, intensity 40; (1 1 1), 18.3 deg, intensity 35; (4 0 0), 43.1 deg, intensity 30; (6 4 2), 86.8 deg, intensity 22; (4 4 0), 62.6 deg, intensity 19; (6 2 0), 71.0 deg, intensity 18; (3 1 1), 35.5 deg, intensity 16

Entry 5:
Starting from the PBE geometry in Alexandria, the X-ray diffraction stick pattern of La4BiHPb was calculated for Cu Ka.

Structure:
Lattice parameters (Å, degrees): 6.6923 18.5698 6.7109 90.00 90.00 90.00
Space group Cmcm (No. 63)
Inequivalent atoms, fractional coordinates:
1 La 0.0000 0.0700 0.2500 [4 per cell]
2 La 0.0000 0.4281 0.2500 [4 per cell]
3 La 0.2500 0.2500 0.0000 [8 per cell]
4 Bi 0.0000 0.3873 0.7500 [4 per cell]
5 H 0.0000 0.2947 0.2500 [4 per cell]
6 Pb 0.0000 0.1119 0.7500 [4 per cell]

Largest 8 diffraction maxima, most intense first, 15 to 90 degrees two-theta:
(2 4 0), 33.0 deg, intensity 100; (2 2 0), 28.3 deg, intensity 74; (2 0 2), 38.0 deg, intensity 61; (0 6 0), 28.8 deg, intensity 34; (2 6 2), 48.4 deg, intensity 33; (1 5 1), 30.6 deg, intensity 32; (2 0 0), 26.6 deg, intensity 28; (1 7 1), 38.9 deg, intensity 21

Entry 6:
Starting from the PBE geometry in Alexandria, the X-ray diffraction stick pattern of Sc2TiRu2 was calculated for Cu Ka.

Structure:
Lattice parameters (Å, degrees): 3.1179 19.0505 3.0944 90.00 90.00 90.00
Space group Cmmm (No. 65)
Inequivalent atoms, fractional coordinates:
1 Sc 0.0000 0.1663 0.0000 [4 per cell]
2 Ti 0.0000 0.0000 0.0000 [2 per cell]
3 Ru 0.0000 0.4196 0.5000 [4 per cell]

Largest 8 diffraction maxima, most intense first, 15 to 90 degrees two-theta:
(1 1 1), 41.4 deg, intensity 100; (0 6 1), 40.7 deg, intensity 82; (1 5 0), 37.3 deg, intensity 62; (1 7 0), 44.2 deg, intensity 44; (2 6 1), 74.4 deg, intensity 25; (0 4 0), 18.6 deg, intensity 21; (0 2 1), 30.4 deg, intensity 18; (1 11 1), 69.1 deg, intensity 18

Entry 7:
Starting from the PBE geometry in Alexandria, the X-ray diffraction stick pattern of Pr4Y5Er was calculated for Cu Ka.

Structure:
Lattice parameters (Å, degrees): 3.6309 3.6309 25.4815 90.00 90.00 90.00
Space group P4/mmm (No. 123)
Inequivalent atoms, fractional coordinates:
1 Pr 0.0000 0.0000 0.1009 [2 per cell]
2 Pr 0.0000 0.0000 0.3026 [2 per cell]
3 Y 0.5000 0.5000 0.0000 [1 per cell]
4 Y 0.5000 0.5000 0.2020 [2 per cell]
5 Y 0.5000 0.5000 0.4042 [2 per cell]
6 Er 0.0000 0.0000 0.5000 [1 per cell]

Largest 8 diffraction maxima, most intense first, 15 to 90 degrees two-theta:
(1 0 5), 30.2 deg, intensity 100; (1 1 0), 34.9 deg, intensity 34; (2 1 5), 59.8 deg, intensity 28; (1 1 10), 50.5 deg, intensity 23; (0 0 10), 35.2 deg, intensity 16; (1 0 15), 60.1 deg, intensity 13; (2 0 0), 50.3 deg, intensity 12; (2 0 10), 62.9 deg, intensity 12

Entry 8:
Starting from the PBE geometry in Alexandria, the X-ray diffraction stick pattern of Pm8C3I3Cl was calculated for Cu Ka.

Structure:
Lattice parameters (Å, degrees): 13.6104 7.8451 8.7060 90.00 121.41 90.00
Space group C2/m (No. 12)
Inequivalent atoms, fractional coordinates:
1 Pm 0.0292 0.2257 0.3131 [8 per cell]
2 Pm 0.2254 0.0000 0.6760 [4 per cell]
3 Pm 0.2453 0.5000 0.6872 [4 per cell]
4 C 0.0000 0.0000 0.5000 [2 per cell]
5 C 0.2500 0.2500 0.5000 [4 per cell]
6 I 0.0000 0.5000 0.0000 [2 per cell]
7 I 0.2500 0.2500 0.0000 [4 per cell]
8 Cl 0.0000 0.5000 0.5000 [2 per cell]

Largest 8 diffraction maxima, most intense first, 15 to 90 degrees two-theta:
(4 0 0), 30.8 deg, intensity 100; (2 2 1), 33.1 deg, intensity 44; (0 4 0), 46.3 deg, intensity 37; (2 2 0), 27.4 deg, intensity 28; (6 2 1), 60.2 deg, intensity 26; (0 0 3), 36.3 deg, intensity 22; (4 0 -4), 41.9 deg, intensity 20; (4 0 -1), 26.5 deg, intensity 16